Starting from a PBE-relaxed structure, the X-ray diffraction stick pattern of LaTlAgAu was simulated for a wavelength of 1.5418 Å.
Peak positions follow from Bragg's law for the DFT cell and can differ from measured ones.

Structure:
a = 7.2990 Å, b = 7.2990 Å, c = 7.2990 Å
α = 90.00°, β = 90.00°, γ = 90.00°
Space group F-43m (No. 216)
Inequivalent atoms, fractional coordinates:
1 La 0.0000 0.0000 0.0000 x4
2 Tl 0.0000 0.0000 0.5000 x4
3 Ag 0.2500 0.2500 0.2500 x4
4 Au 0.2500 0.2500 0.7500 x4

The 10 most intense peaks (2θ = 15–90°), in order of falling intensity:
2θ = 34.76°, intensity 100, hkl 2 2 0
2θ = 62.32°, intensity 37, hkl 4 2 2
2θ = 49.98°, intensity 18, hkl 4 0 0
2θ = 83.83°, intensity 16, hkl 6 2 0
2θ = 73.38°, intensity 11, hkl 4 4 0
2θ = 21.08°, intensity 6, hkl 1 1 1
2θ = 41.01°, intensity 4, hkl 3 1 1
2θ = 54.82°, intensity 2, hkl 3 3 1
2θ = 77.34°, intensity 1, hkl 5 3 1
2θ = 66.57°, intensity 1, hkl 5 1 1

***

Starting from a PBE-relaxed structure, the X-ray diffraction stick pattern of Li2AgAu was simulated for a wavelength of 1.5418 Å.
Peak positions follow from Bragg's law for the DFT cell and can differ from measured ones.

Structure:
a = 4.4475 Å, b = 6.1702 Å, c = 4.4454 Å
α = 90.00°, β = 90.00°, γ = 90.00°
Space group Pmmn (No. 59, origin choice 2)
Inequivalent atoms, fractional coordinates:
1 Li 0.2500 0.0000 0.2494 x4
2 Ag 0.2500 0.2500 0.7493 x2
3 Au 0.2500 0.7500 0.7495 x2

The 10 most intense peaks (2θ = 15–90°), in order of falling intensity:
2θ = 28.39°, intensity 100, hkl 1 0 1
2θ = 40.99°, intensity 86, hkl 1 2 1
2θ = 28.94°, intensity 48, hkl 0 2 0
2θ = 40.58°, intensity 44, hkl 2 0 0
2θ = 50.61°, intensity 40, hkl 2 2 0
2θ = 74.10°, intensity 30, hkl 3 2 1
2θ = 24.68°, intensity 22, hkl 1 1 0
2θ = 66.50°, intensity 18, hkl 3 0 1
2θ = 66.79°, intensity 17, hkl 2 2 2
2θ = 67.65°, intensity 17, hkl 1 4 1

***

Starting from a PBE-relaxed structure, the X-ray diffraction stick pattern of LiMg2AgAu4 was simulated for a wavelength of 1.5418 Å.
Peak positions follow from Bragg's law for the DFT cell and can differ from measured ones.

Structure:
a = 4.4998 Å, b = 4.4998 Å, c = 6.8700 Å
α = 90.00°, β = 90.00°, γ = 90.00°
Space group P4/mmm (No. 123)
Inequivalent atoms, fractional coordinates:
1 Li 0.0000 0.0000 0.0000 x1
2 Mg 0.0000 0.0000 0.5000 x1
3 Mg 0.5000 0.5000 0.0000 x1
4 Ag 0.5000 0.5000 0.5000 x1
5 Au 0.0000 0.5000 0.2350 x4

The 10 most intense peaks (2θ = 15–90°), in order of falling intensity:
2θ = 38.57°, intensity 100, hkl 1 1 2
2θ = 28.04°, intensity 49, hkl 1 1 0
2θ = 40.08°, intensity 46, hkl 2 0 0
2θ = 71.81°, intensity 33, hkl 3 1 2
2θ = 25.94°, intensity 28, hkl 0 0 2
2θ = 48.36°, intensity 22, hkl 2 0 2
2θ = 68.76°, intensity 17, hkl 2 0 4
2θ = 57.97°, intensity 16, hkl 2 2 0
2θ = 82.68°, intensity 10, hkl 2 2 4
2θ = 61.34°, intensity 10, hkl 1 1 4

***

Starting from a PBE-relaxed structure, the X-ray diffraction stick pattern of LiMg2ZrAg2Au2 was simulated for a wavelength of 1.5418 Å.
Peak positions follow from Bragg's law for the DFT cell and can differ from measured ones.

Structure:
a = 4.7294 Å, b = 4.7294 Å, c = 6.5781 Å
α = 90.00°, β = 90.00°, γ = 90.00°
Space group P-4m2 (No. 115)
Inequivalent atoms, fractional coordinates:
1 Li 0.0000 0.0000 0.0000 x1
2 Mg 0.0000 0.0000 0.5000 x1
3 Mg 0.5000 0.5000 0.0000 x1
4 Zr 0.5000 0.5000 0.5000 x1
5 Ag 0.0000 0.5000 0.7705 x2
6 Au 0.0000 0.5000 0.2536 x2

The 10 most intense peaks (2θ = 15–90°), in order of falling intensity:
2θ = 38.39°, intensity 100, hkl 1 1 2
2θ = 38.05°, intensity 52, hkl 2 0 0
2θ = 26.66°, intensity 49, hkl 1 1 0
2θ = 68.98°, intensity 35, hkl 3 1 2
2θ = 27.11°, intensity 23, hkl 0 0 2
2θ = 47.35°, intensity 20, hkl 2 0 2
2θ = 23.16°, intensity 19, hkl 1 0 1
2θ = 54.91°, intensity 18, hkl 2 2 0
2θ = 69.64°, intensity 16, hkl 2 0 4
2θ = 82.22°, intensity 10, hkl 2 2 4